Record 1
Structure and computed XRD peak list of Y2VS2 (the GGA-PBE geometry in Alexandria; CuKα).
Lines closer than 0.1° are merged.

Cell and atoms:
a b c (Å): 7.867 7.867 3.478
angles (deg): 90.00 90.00 90.00
Fractional positions:
Y1 0.156 0.344 0.000
Y2 0.344 0.844 0.000
Y3 0.656 0.156 0.000
Y4 0.844 0.656 0.000
V1 0.000 0.000 0.000
V2 0.500 0.500 0.000
S1 0.143 0.643 0.500
S2 0.357 0.143 0.500
S3 0.643 0.857 0.500
S4 0.857 0.357 0.500

Principal peaks in the range 2θ = 10–90°, sorted by position:
- 25.3°, 3.518 Å, I 28
- 25.6°, 3.478 Å, I 24
- 36.1°, 2.488 Å, I 49
- 36.3°, 2.473 Å, I 100
- 44.8°, 2.023 Å, I 19
- 54.9°, 1.673 Å, I 13
- 65.5°, 1.425 Å, I 16
- 69.8°, 1.347 Å, I 19


Record 2
Structure and computed XRD peak list of V2ZnS5 (the GGA-PBE geometry in Alexandria; CuKα).
Lines closer than 0.1° are merged.

Cell and atoms:
a b c (Å): 3.625 13.450 6.310
angles (deg): 90.00 90.00 90.00
Fractional positions:
V1 0.250 0.084 0.020
V2 0.250 0.416 0.020
V3 0.750 0.584 0.980
V4 0.750 0.916 0.980
Zn1 0.250 0.750 0.563
Zn2 0.750 0.250 0.437
S1 0.250 0.170 0.711
S2 0.250 0.250 0.192
S3 0.250 0.330 0.711
S4 0.250 0.547 0.778
S5 0.250 0.953 0.778
S6 0.750 0.047 0.222
S7 0.750 0.453 0.222
S8 0.750 0.670 0.289
S9 0.750 0.750 0.808
S10 0.750 0.830 0.289

Principal peaks in the range 2θ = 10–90°, sorted by position:
- 19.3°, 4.601 Å, I 100
- 28.4°, 3.143 Å, I 34
- 29.2°, 3.060 Å, I 58
- 36.3°, 2.474 Å, I 42
- 40.2°, 2.243 Å, I 29
- 43.0°, 2.102 Å, I 78
- 44.3°, 2.044 Å, I 23
- 50.3°, 1.812 Å, I 26


Record 3
Structure and computed XRD peak list of WS2 (the GGA-PBE geometry in Alexandria; CuKα).
Lines closer than 0.1° are merged.

Cell and atoms:
a b c (Å): 3.189 3.189 7.268
angles (deg): 90.00 90.00 120.00
Fractional positions:
W1 0.000 0.000 0.000
S1 0.333 0.667 0.216
S2 0.333 0.667 0.784

Principal peaks in the range 2θ = 10–90°, sorted by position:
- 12.2°, 7.268 Å, I 100
- 32.4°, 2.762 Å, I 20
- 34.7°, 2.582 Å, I 39
- 41.0°, 2.199 Å, I 38
- 50.1°, 1.821 Å, I 19
- 57.8°, 1.595 Å, I 9
- 59.3°, 1.558 Å, I 11
- 80.0°, 1.199 Å, I 11


Record 4
Structure and computed XRD peak list of W5S8 (the GGA-PBE geometry in Alexandria; CuKα).
Lines closer than 0.1° are merged.

Cell and atoms:
a b c (Å): 6.614 6.614 8.269
angles (deg): 125.71 125.71 60.97
Fractional positions:
W1 0.000 0.000 0.000
W2 0.282 0.718 0.500
W3 0.285 0.285 0.508
W4 0.715 0.715 0.492
W5 0.718 0.282 0.500
S1 0.192 0.192 0.706
S2 0.195 0.717 0.748
S3 0.283 0.805 0.252
S4 0.286 0.286 0.214
S5 0.714 0.714 0.786
S6 0.717 0.195 0.748
S7 0.805 0.283 0.252
S8 0.808 0.808 0.294

Principal peaks in the range 2θ = 10–90°, sorted by position:
- 14.6°, 6.084 Å, I 100
- 17.0°, 5.206 Å, I 45
- 29.4°, 3.042 Å, I 27
- 30.9°, 2.891 Å, I 56
- 34.2°, 2.620 Å, I 42
- 43.0°, 2.104 Å, I 43
- 43.4°, 2.087 Å, I 43
- 55.6°, 1.653 Å, I 27


Record 5
Structure and computed XRD peak list of Y5S6 (the GGA-PBE geometry in Alexandria; CuKα).
Lines closer than 0.1° are merged.

Cell and atoms:
a b c (Å): 6.770 6.770 6.751
angles (deg): 99.64 99.64 119.81
Fractional positions:
Y1 0.000 0.000 0.000
Y2 0.166 0.834 0.500
Y3 0.337 0.663 0.000
Y4 0.663 0.337 0.000
Y5 0.834 0.166 0.500
S1 0.082 0.416 0.249
S2 0.250 0.250 0.746
S3 0.416 0.082 0.249
S4 0.584 0.918 0.751
S5 0.750 0.750 0.254
S6 0.918 0.584 0.751

Principal peaks in the range 2θ = 10–90°, sorted by position:
- 27.9°, 3.194 Å, I 24
- 32.4°, 2.763 Å, I 100
- 46.4°, 1.958 Å, I 23
- 46.5°, 1.951 Å, I 46
- 57.8°, 1.595 Å, I 12
- 67.8°, 1.381 Å, I 11
- 77.3°, 1.235 Å, I 14
- 86.2°, 1.128 Å, I 7


Record 6
Structure and computed XRD peak list of Y2S3 (the GGA-PBE geometry in Alexandria; CuKα).
Lines closer than 0.1° are merged.

Cell and atoms:
a b c (Å): 13.812 13.812 13.812
angles (deg): 144.79 144.79 50.64
Fractional positions:
Y1 0.049 0.428 0.901
Y2 0.164 0.164 0.000
Y3 0.178 0.299 0.401
Y4 0.222 0.822 0.121
Y5 0.257 0.125 0.632
Y6 0.375 0.743 0.868
Y7 0.493 0.625 0.368
Y8 0.528 0.149 0.099
Y9 0.572 0.472 0.621
Y10 0.586 0.086 0.500
Y11 0.701 0.101 0.879
Y12 0.836 0.836 0.000
Y13 0.851 0.951 0.379
Y14 0.875 0.507 0.132
Y15 0.899 0.778 0.599
Y16 0.914 0.414 0.500
S1 0.073 0.827 0.614
S2 0.173 0.786 0.246
S3 0.188 0.093 0.747
S4 0.192 0.597 0.753
S5 0.210 0.464 0.886
S6 0.214 0.460 0.386
S7 0.247 0.001 0.116
S8 0.347 0.442 0.253
S9 0.403 0.157 0.595
S10 0.503 0.120 0.254
S11 0.536 0.423 0.746
S12 0.540 0.927 0.754
S13 0.558 0.812 0.905
S14 0.562 0.808 0.405
S15 0.577 0.323 0.114
S16 0.677 0.790 0.254
S17 0.751 0.497 0.616
S18 0.843 0.438 0.247
S19 0.865 0.249 0.746
S20 0.870 0.753 0.754
S21 0.880 0.135 0.384
S22 0.885 0.130 0.884
S23 0.907 0.653 0.095
S24 0.999 0.115 0.246

Principal peaks in the range 2θ = 10–90°, sorted by position:
- 26.2°, 3.406 Å, I 76
- 33.9°, 2.641 Å, I 100
- 34.0°, 2.633 Å, I 43
- 40.5°, 2.230 Å, I 85
- 48.8°, 1.867 Å, I 26
- 51.4°, 1.779 Å, I 26
- 56.3°, 1.635 Å, I 18
- 69.4°, 1.355 Å, I 20


Record 7
Structure and computed XRD peak list of Y3S4 (the GGA-PBE geometry in Alexandria; CuKα).
Lines closer than 0.1° are merged.

Cell and atoms:
a b c (Å): 6.740 6.740 3.938
angles (deg): 90.00 90.00 108.41
Fractional positions:
Y1 0.000 0.000 0.000
Y2 0.000 0.500 0.500
Y3 0.500 0.000 0.500
S1 0.241 0.241 0.500
S2 0.253 0.747 0.000
S3 0.747 0.253 0.000
S4 0.759 0.759 0.500

Principal peaks in the range 2θ = 10–90°, sorted by position:
- 13.8°, 6.395 Å, I 42
- 27.9°, 3.196 Å, I 33
- 32.1°, 2.786 Å, I 100
- 32.8°, 2.734 Å, I 47
- 46.1°, 1.970 Å, I 34
- 46.5°, 1.951 Å, I 67
- 57.7°, 1.598 Å, I 34
- 85.7°, 1.134 Å, I 22


Record 8
Structure and computed XRD peak list of Y3S4 (the GGA-PBE geometry in Alexandria; CuKα).
Lines closer than 0.1° are merged.

Cell and atoms:
a b c (Å): 8.065 8.065 8.065
angles (deg): 60.00 60.00 60.00
Fractional positions:
Y1 0.000 0.000 0.000
Y2 0.000 0.000 0.500
Y3 0.000 0.500 0.000
Y4 0.375 0.375 0.375
Y5 0.500 0.000 0.000
Y6 0.625 0.625 0.625
S1 0.227 0.758 0.758
S2 0.242 0.242 0.242
S3 0.242 0.242 0.773
S4 0.242 0.773 0.242
S5 0.758 0.227 0.758
S6 0.758 0.758 0.227
S7 0.758 0.758 0.758
S8 0.773 0.242 0.242

Principal peaks in the range 2θ = 10–90°, sorted by position:
- 22.0°, 4.033 Å, I 28
- 25.9°, 3.439 Å, I 100
- 31.4°, 2.851 Å, I 32
- 41.1°, 2.195 Å, I 45
- 45.0°, 2.016 Å, I 73
- 52.6°, 1.739 Å, I 14
- 62.6°, 1.485 Å, I 22
- 82.9°, 1.164 Å, I 22


Record 9
Structure and computed XRD peak list of Y2ZnS (the GGA-PBE geometry in Alexandria; CuKα).
Lines closer than 0.1° are merged.

Cell and atoms:
a b c (Å): 11.424 11.424 4.111
angles (deg): 90.00 90.00 160.33
Fractional positions:
Y1 0.073 0.927 0.750
Y2 0.315 0.685 0.750
Y3 0.685 0.315 0.250
Y4 0.927 0.073 0.250
Zn1 0.462 0.538 0.750
Zn2 0.538 0.462 0.250
S1 0.194 0.806 0.750
S2 0.806 0.194 0.250

Principal peaks in the range 2θ = 10–90°, sorted by position:
- 26.9°, 3.320 Å, I 14
- 30.3°, 2.949 Å, I 25
- 31.8°, 2.810 Å, I 100
- 33.8°, 2.648 Å, I 16
- 38.8°, 2.322 Å, I 12
- 42.6°, 2.125 Å, I 33
- 44.0°, 2.056 Å, I 19
- 46.6°, 1.951 Å, I 16


Record 10
Structure and computed XRD peak list of Y4ZnS3 (the GGA-PBE geometry in Alexandria; CuKα).
Lines closer than 0.1° are merged.

Cell and atoms:
a b c (Å): 6.878 6.878 6.878
angles (deg): 131.70 131.70 70.70
Fractional positions:
Y1 0.000 0.500 0.500
Y2 0.244 0.244 0.000
Y3 0.500 0.000 0.500
Y4 0.756 0.756 0.000
Zn1 0.500 0.500 0.000
S1 0.000 0.000 0.000
S2 0.250 0.750 0.500
S3 0.750 0.250 0.500

Principal peaks in the range 2θ = 10–90°, sorted by position:
- 27.5°, 3.246 Å, I 35
- 31.8°, 2.814 Å, I 96
- 31.9°, 2.805 Å, I 47
- 45.6°, 1.988 Å, I 100
- 56.7°, 1.623 Å, I 34
- 75.6°, 1.258 Å, I 28
- 75.8°, 1.255 Å, I 14
- 84.4°, 1.148 Å, I 21


Record 11
Structure and computed XRD peak list of Y2ZrS5 (the GGA-PBE geometry in Alexandria; CuKα).
Lines closer than 0.1° are merged.

Cell and atoms:
a b c (Å): 7.073 7.073 12.802
angles (deg): 90.00 90.00 136.68
Fractional positions:
Y1 0.146 0.854 0.561
Y2 0.146 0.854 0.939
Y3 0.854 0.146 0.061
Y4 0.854 0.146 0.439
Zr1 0.192 0.808 0.250
Zr2 0.808 0.192 0.750
S1 0.049 0.951 0.123
S2 0.049 0.951 0.377
S3 0.260 0.740 0.750
S4 0.309 0.691 0.082
S5 0.309 0.691 0.418
S6 0.691 0.309 0.582
S7 0.691 0.309 0.918
S8 0.740 0.260 0.250
S9 0.951 0.049 0.623
S10 0.951 0.049 0.877

Principal peaks in the range 2θ = 10–90°, sorted by position:
- 13.5°, 6.573 Å, I 59
- 18.3°, 4.853 Å, I 93
- 24.9°, 3.579 Å, I 77
- 27.8°, 3.204 Å, I 22
- 34.4°, 2.608 Å, I 100
- 42.9°, 2.109 Å, I 34
- 44.0°, 2.057 Å, I 32
- 49.4°, 1.844 Å, I 31


Record 12
Structure and computed XRD peak list of Y3ZrS6 (the GGA-PBE geometry in Alexandria; CuKα).
Lines closer than 0.1° are merged.

Cell and atoms:
a b c (Å): 7.924 7.924 7.924
angles (deg): 92.25 92.25 92.25
Fractional positions:
Y1 0.079 0.755 0.586
Y2 0.245 0.414 0.921
Y3 0.414 0.921 0.245
Y4 0.587 0.079 0.755
Y5 0.755 0.587 0.079
Y6 0.921 0.245 0.414
Zr1 0.000 0.000 0.000
Zr2 0.500 0.500 0.500
S1 0.048 0.689 0.916
S2 0.084 0.952 0.311
S3 0.190 0.419 0.574
S4 0.311 0.084 0.952
S5 0.419 0.574 0.190
S6 0.426 0.810 0.581
S7 0.574 0.190 0.419
S8 0.581 0.426 0.810
S9 0.689 0.916 0.048
S10 0.810 0.581 0.426
S11 0.916 0.048 0.689
S12 0.952 0.311 0.084

Principal peaks in the range 2θ = 10–90°, sorted by position:
- 20.2°, 4.391 Å, I 57
- 22.5°, 3.955 Å, I 33
- 24.8°, 3.597 Å, I 100
- 25.6°, 3.481 Å, I 27
- 27.4°, 3.252 Å, I 48
- 35.4°, 2.533 Å, I 58
- 36.4°, 2.472 Å, I 99
- 41.8°, 2.159 Å, I 69


Question: What is the formula in the first record?
Answer: Y2VS2